(1)
Calculated PXRD pattern of Tm7Sc12Tl for Cu Kα, from the PBE geometry in Alexandria.
Lines closer than 0.1° are merged.

Top 10 peaks for 10° ≤ 2θ ≤ 90°, low angle first:
10.8 deg, 8.175 Å, I 41
19.0 deg, 4.659 Å, I 31
24.2 deg, 3.675 Å, I 36
26.7 deg, 3.345 Å, I 36
32.7 deg, 2.741 Å, I 91
33.3 deg, 2.694 Å, I 35
34.6 deg, 2.595 Å, I 100
34.8 deg, 2.575 Å, I 56
41.1 deg, 2.198 Å, I 36
57.1 deg, 1.613 Å, I 36

Cell lengths 8.1764, 8.1764, 8.1764 Å; angles 90.74, 90.74, 90.74 degrees
Sites, in units of the cell vectors:
Tm: 0.0000 0.0000 0.0000
Tm: 0.1210 0.3474 0.4600
Tm: 0.3474 0.4600 0.1210
Tm: 0.4600 0.1210 0.3474
Tm: 0.5400 0.8790 0.6526
Tm: 0.6526 0.5400 0.8790
Tm: 0.8790 0.6526 0.5400
Sc: 0.0059 0.3515 0.8793
Sc: 0.1207 0.9941 0.6485
Sc: 0.2258 0.6284 0.7581
Sc: 0.2419 0.7742 0.3716
Sc: 0.3515 0.8793 0.0059
Sc: 0.3716 0.2419 0.7742
Sc: 0.6284 0.7581 0.2258
Sc: 0.6485 0.1207 0.9941
Sc: 0.7581 0.2258 0.6284
Sc: 0.7742 0.3716 0.2419
Sc: 0.8793 0.0059 0.3515
Sc: 0.9941 0.6485 0.1207
Tl: 0.5000 0.5000 0.5000

***

(2)
Calculated PXRD pattern of Tm3Sc4Tl for Cu Kα, from the PBE geometry in Alexandria.
Lines closer than 0.1° are merged.

Top 10 peaks for 10° ≤ 2θ ≤ 90°, low angle first:
17.2 deg, 5.168 Å, I 33
28.2 deg, 3.169 Å, I 25
28.8 deg, 3.104 Å, I 100
30.5 deg, 2.928 Å, I 31
32.2 deg, 2.777 Å, I 22
36.7 deg, 2.446 Å, I 22
38.0 deg, 2.366 Å, I 24
41.3 deg, 2.186 Å, I 15
43.3 deg, 2.089 Å, I 14
55.4 deg, 1.659 Å, I 16

Cell lengths 5.5538, 8.0325, 10.3355 Å; angles 90.00, 90.00, 90.00 degrees
Sites, in units of the cell vectors:
Tm: 0.0000 0.0000 0.0000
Tm: 0.0000 0.2157 0.6156
Tm: 0.0000 0.7843 0.6156
Tm: 0.5000 0.2843 0.1156
Tm: 0.5000 0.5000 0.5000
Tm: 0.5000 0.7157 0.1156
Sc: 0.0000 0.3308 0.3109
Sc: 0.0000 0.6692 0.3109
Sc: 0.2471 0.0000 0.3136
Sc: 0.2529 0.5000 0.8136
Sc: 0.5000 0.1692 0.8109
Sc: 0.5000 0.8308 0.8109
Sc: 0.7471 0.5000 0.8136
Sc: 0.7529 0.0000 0.3136
Tl: 0.0000 0.5000 0.0601
Tl: 0.5000 0.0000 0.5601

***

(3)
Calculated PXRD pattern of TmSc2Tl2Zn2 for Cu Kα, from the PBE geometry in Alexandria.
Lines closer than 0.1° are merged.

Top 10 peaks for 10° ≤ 2θ ≤ 90°, low angle first:
26.2 deg, 3.402 Å, I 96
33.4 deg, 2.685 Å, I 86
36.2 deg, 2.481 Å, I 29
38.5 deg, 2.337 Å, I 100
45.6 deg, 1.988 Å, I 28
47.2 deg, 1.927 Å, I 21
51.9 deg, 1.763 Å, I 24
62.5 deg, 1.487 Å, I 18
66.4 deg, 1.407 Å, I 23
69.0 deg, 1.361 Å, I 19

Cell lengths 8.7942, 8.7942, 8.7942 Å; angles 30.83, 30.83, 30.83 degrees
Sites, in units of the cell vectors:
Tm: 0.0000 0.0000 0.0000
Sc: 0.1363 0.1363 0.1363
Sc: 0.8637 0.8637 0.8637
Tl: 0.2650 0.2650 0.2650
Tl: 0.7350 0.7350 0.7350
Zn: 0.4444 0.4444 0.4444
Zn: 0.5556 0.5556 0.5556

***

(4)
Calculated PXRD pattern of YScTl3 for Cu Kα, from the PBE geometry in Alexandria.
Lines closer than 0.1° are merged.

Top 10 peaks for 10° ≤ 2θ ≤ 90°, low angle first:
16.3 deg, 5.445 Å, I 16
28.4 deg, 3.144 Å, I 100
32.9 deg, 2.723 Å, I 67
36.9 deg, 2.435 Å, I 9
47.2 deg, 1.925 Å, I 49
56.0 deg, 1.642 Å, I 46
58.7 deg, 1.572 Å, I 17
76.2 deg, 1.249 Å, I 19
78.6 deg, 1.218 Å, I 22
87.8 deg, 1.112 Å, I 17

Cell lengths 5.4454, 5.4454, 5.4454 Å; angles 90.00, 90.00, 90.00 degrees
Sites, in units of the cell vectors:
Y: 0.0000 0.0000 0.0000
Sc: 0.5000 0.5000 0.5000
Tl: 0.0000 0.5000 0.5000
Tl: 0.5000 0.0000 0.5000
Tl: 0.5000 0.5000 0.0000

***

(5)
Calculated PXRD pattern of Y5ScTl3 for Cu Kα, from the PBE geometry in Alexandria.
Lines closer than 0.1° are merged.

Top 10 peaks for 10° ≤ 2θ ≤ 90°, low angle first:
19.0 deg, 4.659 Å, I 14
23.3 deg, 3.820 Å, I 32
26.7 deg, 3.337 Å, I 21
33.0 deg, 2.713 Å, I 76
33.3 deg, 2.690 Å, I 100
43.2 deg, 2.094 Å, I 33
47.6 deg, 1.910 Å, I 26
59.3 deg, 1.557 Å, I 27
59.5 deg, 1.553 Å, I 18
65.9 deg, 1.418 Å, I 29

Cell lengths 9.3184, 9.3184, 6.6732 Å; angles 90.00, 90.00, 120.00 degrees
Sites, in units of the cell vectors:
Y: 0.0000 0.3193 0.2500
Y: 0.0000 0.6807 0.7500
Y: 0.3193 0.0000 0.2500
Y: 0.3193 0.3193 0.7500
Y: 0.3333 0.6667 0.0000
Y: 0.3333 0.6667 0.5000
Y: 0.6667 0.3333 0.0000
Y: 0.6667 0.3333 0.5000
Y: 0.6807 0.0000 0.7500
Y: 0.6807 0.6807 0.2500
Sc: 0.0000 0.0000 0.0000
Sc: 0.0000 0.0000 0.5000
Tl: 0.0000 0.3429 0.7500
Tl: 0.0000 0.6571 0.2500
Tl: 0.3429 0.0000 0.7500
Tl: 0.3429 0.3429 0.2500
Tl: 0.6571 0.0000 0.2500
Tl: 0.6571 0.6571 0.7500

***

(6)
Calculated PXRD pattern of ScTlZn for Cu Kα, from the PBE geometry in Alexandria.
Lines closer than 0.1° are merged.

Top 10 peaks for 10° ≤ 2θ ≤ 90°, low angle first:
17.3 deg, 5.131 Å, I 34
24.1 deg, 3.689 Å, I 33
26.5 deg, 3.362 Å, I 47
31.5 deg, 2.840 Å, I 21
35.4 deg, 2.539 Å, I 90
35.6 deg, 2.524 Å, I 100
40.6 deg, 2.225 Å, I 38
41.5 deg, 2.177 Å, I 57
59.4 deg, 1.556 Å, I 39
72.0 deg, 1.312 Å, I 23

Cell lengths 6.1834, 4.4498, 9.1937 Å; angles 90.00, 90.00, 90.00 degrees
Sites, in units of the cell vectors:
Sc: 0.1447 0.2500 0.0906
Sc: 0.3553 0.7500 0.5906
Sc: 0.6447 0.2500 0.4094
Sc: 0.8553 0.7500 0.9094
Tl: 0.1469 0.2500 0.4141
Tl: 0.3531 0.7500 0.9141
Tl: 0.6469 0.2500 0.0859
Tl: 0.8531 0.7500 0.5859
Zn: 0.0817 0.2500 0.7573
Zn: 0.4183 0.7500 0.2573
Zn: 0.5817 0.2500 0.7427
Zn: 0.9183 0.7500 0.2427